Calculated powder diffraction line list of Pm2DyIn for Cu Kα (weighted mean of Kα1 and Kα2), from the GGA-PBE geometry in Alexandria.

Structure:
```
4
Lattice="3.6194 0.0000 0.0000 0.0000 3.6194 0.0000 0.0000 0.0000 9.4759" Properties=species:S:1:pos:R:3 pbc="T T T"
Pm 0.0000 0.0000 2.1594
Pm 0.0000 0.0000 7.3166
Dy 1.8097 1.8097 4.7380
In 1.8097 1.8097 0.0000
```

Main lines, by intensity (15 to 90 degrees two-theta):
d_spacing	I/Imax
2.876	100
2.559	38
1.532	30
1.739	20
1.810	13
2.369	13
1.438	11
1.448	9
1.130	8
1.169	6